Entry 1:
The following is a theoretical powder diffraction line list of Te2Mo3Se2S2. It was derived from the PBE geometry in the Materials Project, using Cu Kα.
No peak broadening, texture or thermal motion is included.

Peak list (8 most intense, 15 to 90 degrees two-theta, by intensity)
hkl 1 0 7, 37.1°, intensity 100; hkl 0 1 6, 35.5°, intensity 80; hkl 1 0 11, 44.9°, intensity 58; hkl 1 1 0, 54.8°, intensity 54; hkl 1 0 0, 30.8°, intensity 51; hkl 0 1 10, 42.7°, intensity 42; hkl 0 1 1, 31.0°, intensity 35; hkl 1 1 17, 77.4°, intensity 20

Atomic structure:
```
Te2Mo3Se2S2
1.0
3.349 0.000 0.000
-1.675 2.901 0.000
0.000 0.000 30.960
Te Mo Se S
2 3 2 2
direct
0.000 0.000 0.000
0.000 0.000 0.122
0.000 0.000 0.293
0.000 0.000 0.830
0.333 0.667 0.061
0.333 0.667 0.239
0.333 0.667 0.346
0.333 0.667 0.781
0.333 0.667 0.879
```

---

Entry 2:
The following is a theoretical powder diffraction line list of Te2Mo2SeS. It was derived from the PBE geometry in the Materials Project, using Cu Kα.
No peak broadening, texture or thermal motion is included.

Peak list (8 most intense, 15 to 90 degrees two-theta, by intensity)
hkl 1 0 8, 35.4°, intensity 100; hkl 0 1 13, 42.5°, intensity 74; hkl 1 0 0, 30.4°, intensity 66; hkl 1 1 0, 54.0°, intensity 47; hkl 1 0 9, 36.6°, intensity 25; hkl 1 0 14, 44.2°, intensity 22; hkl 1 1 21, 74.9°, intensity 20; hkl 0 1 7, 34.3°, intensity 19

Atomic structure:
```
Te2Mo2SeS
1.0
3.399 0.000 0.000
-1.700 2.944 0.000
0.000 0.000 40.009
Te Mo Se S
4 4 2 2
direct
0.000 0.000 0.000
0.000 0.000 0.094
0.333 0.667 0.190
0.333 0.667 0.284
0.000 0.000 0.237
0.000 0.000 0.860
0.333 0.667 0.047
0.333 0.667 0.424
0.000 0.000 0.383
0.000 0.000 0.465
0.333 0.667 0.823
0.333 0.667 0.898
```

---

Entry 3:
The following is a theoretical powder diffraction line list of TeMo2Se2S. It was derived from the PBE geometry in the Materials Project, using Cu Kα.
No peak broadening, texture or thermal motion is included.

Peak list (8 most intense, 15 to 90 degrees two-theta, by intensity)
hkl 0 1 8, 36.3°, intensity 100; hkl 1 0 13, 44.0°, intensity 58; hkl 1 0 0, 30.9°, intensity 57; hkl 1 1 0, 54.9°, intensity 34; hkl 0 1 10, 39.1°, intensity 21; hkl 0 1 14, 45.8°, intensity 18; hkl 1 1 21, 77.8°, intensity 17; hkl 2 0 8, 67.6°, intensity 16

Atomic structure:
```
TeMo2Se2S
1.0
3.344 0.000 0.000
-1.672 2.896 0.000
0.000 0.000 37.994
Te Mo Se S
2 4 4 2
direct
0.000 0.000 0.000
0.000 0.000 0.100
0.000 0.000 0.486
0.000 0.000 0.862
0.333 0.667 0.050
0.333 0.667 0.674
0.000 0.000 0.630
0.000 0.000 0.718
0.333 0.667 0.442
0.333 0.667 0.530
0.333 0.667 0.822
0.333 0.667 0.902
```

---

Entry 4:
The following is a theoretical powder diffraction line list of Te2Mo2SeS. It was derived from the PBE geometry in the Materials Project, using Cu Kα.
No peak broadening, texture or thermal motion is included.

Peak list (8 most intense, 15 to 90 degrees two-theta, by intensity)
hkl 1 0 8, 35.7°, intensity 100; hkl 1 0 0, 30.4°, intensity 58; hkl 0 1 13, 43.3°, intensity 56; hkl 1 1 0, 54.0°, intensity 39; hkl 1 0 14, 45.0°, intensity 18; hkl 1 1 21, 76.3°, intensity 17; hkl 0 2 8, 66.4°, intensity 16; hkl 1 0 9, 37.0°, intensity 15

Atomic structure:
```
Te2Mo2SeS
1.0
3.398 0.000 0.000
-1.699 2.943 0.000
0.000 0.000 38.650
Te Mo Se S
4 4 2 2
direct
0.000 0.000 0.000
0.000 0.000 0.097
0.000 0.000 0.376
0.000 0.000 0.473
0.000 0.000 0.236
0.000 0.000 0.861
0.333 0.667 0.048
0.333 0.667 0.424
0.333 0.667 0.194
0.333 0.667 0.279
0.333 0.667 0.822
0.333 0.667 0.899
```